Computed powder diffractogram
Compound: Li9Mn2Co5O16
Radiation: CuKα
Structure: DFT lattice parameters and positions (GGA+U)

```
data_Li9Mn2Co5O16
_chemical_formula_sum 'Li9 Mn2 Co5 O16'
_cell_length_a 5.916
_cell_length_b 6.456
_cell_length_c 7.888
_cell_angle_alpha 88.96
_cell_angle_beta 76.01
_cell_angle_gamma 75.23
_space_group_name_H-M_alt 'P 1'
_space_group_IT_number 1
loop_
_space_group_symop_operation_xyz
'x,y,z'
loop_
_atom_site_label
_atom_site_type_symbol
_atom_site_fract_x
_atom_site_fract_y
_atom_site_fract_z
_atom_site_occupancy
Li1 Li 0.000 0.000 0.000 1
Li2 Li 0.003 0.488 0.498 1
Li3 Li 0.128 0.869 0.624 1
Li4 Li 0.247 0.737 0.260 1
Li5 Li 0.371 0.616 0.872 1
Li6 Li 0.491 0.488 0.495 1
Li7 Li 0.622 0.362 0.130 1
Li8 Li 0.755 0.244 0.743 1
Li9 Li 0.877 0.125 0.379 1
Mn1 Mn 0.747 0.743 0.255 1
Mn2 Mn 0.876 0.618 0.871 1
Co1 Co 0.129 0.369 0.132 1
Co2 Co 0.243 0.242 0.744 1
Co3 Co 0.370 0.122 0.376 1
Co4 Co 0.497 0.995 0.002 1
Co5 Co 0.623 0.870 0.627 1
O1 O 0.040 0.670 0.061 1
O2 O 0.082 0.174 0.553 1
O3 O 0.178 0.548 0.703 1
O4 O 0.197 0.064 0.172 1
O5 O 0.313 0.413 0.314 1
O6 O 0.328 0.941 0.804 1
O7 O 0.419 0.293 0.952 1
O8 O 0.447 0.811 0.427 1
O9 O 0.550 0.170 0.578 1
O10 O 0.582 0.696 0.067 1
O11 O 0.672 0.043 0.198 1
O12 O 0.700 0.580 0.705 1
O13 O 0.805 0.921 0.827 1
O14 O 0.822 0.442 0.295 1
O15 O 0.902 0.803 0.428 1
O16 O 0.943 0.318 0.921 1
```

Most intense lines, 10° ≤ 2θ ≤ 90°, sorted by position:
(hkl), 2theta, d_spacing, intensity
1 1 0, 18.5, 4.806, 100
1 0 3, 35.0, 2.567, 18
2 1 3, 42.0, 2.150, 31
0 3 -1, 44.6, 2.030, 26
2 0 -2, 44.8, 2.021, 25
2 -2 4, 62.9, 1.477, 15